The following is a calculated powder X-ray diffraction pattern of YTa4. It was derived from a DFT-relaxed cell (PBE, Alexandria), using Cu Kα.
Neutral-atom scattering factors, no anomalous dispersion.

Atomic structure:
Cell: 2.8447 4.7445 15.0839 Å, 90.00 90.00 90.00°
Positions (direct):
Y1 0.0000 0.0000 0.0000
Y2 0.5000 0.5000 0.5000
Ta1 0.0000 0.0000 0.2024
Ta2 0.0000 0.0000 0.3862
Ta3 0.0000 0.0000 0.6138
Ta4 0.0000 0.0000 0.7976
Ta5 0.5000 0.5000 0.1138
Ta6 0.5000 0.5000 0.2976
Ta7 0.5000 0.5000 0.7024
Ta8 0.5000 0.5000 0.8862

Principal peaks in the range 15 to 90 degrees two-theta, in order of falling intensity:
d (Å)	2θ/deg	I (rel.)	index
2.546	35.3	100	0 1 5
2.440	36.8	97	1 1 0
2.070	43.7	55	1 0 5
1.560	59.3	45	1 2 5
2.372	37.9	45	0 2 0
1.242	76.8	21	2 1 5
1.283	73.9	18	1 1 10
1.382	67.8	16	1 3 0